[1]
Diffraction record for ErH8Ir2Au. The powder X-ray diffraction pattern is theoretical, not measured: it uses a crystal structure in Alexandria, relaxed with PBE and Cu Kα X-rays.
Intensities are scaled so that the largest is 100.

Most intense lines, 2θ from 5° to 70°, by angle:
two_theta  I (rel.)
15.5  21.0
30.5  100.0
31.7  39.1
37.9  64.1
42.7  11.3
43.5  22.4
43.7  20.0
50.6  10.8
54.8  17.2
63.3  13.4

Structural model:
```
12
Lattice="4.3885 -2.0819 0.0000 4.3885 2.0819 0.0000 -1.9773 0.0000 5.7072" Properties=species:S:1:pos:R:3 pbc="T T T"
Er 0.0000 0.0000 0.0000
H 2.4460 1.0049 0.9085
H 1.1211 0.0000 2.1578
H 1.9183 0.0000 4.9981
H 4.3536 1.0049 4.7986
H 2.4460 -1.0049 0.9085
H 4.8813 0.0000 0.7091
H 5.6785 0.0000 3.5494
H 4.3536 -1.0049 4.7986
Ir 0.7087 0.0000 3.8412
Ir 6.0910 0.0000 1.8660
Au 3.3998 0.0000 2.8536
```

***

[2]
Diffraction record for Zr4GaCu. The powder X-ray diffraction pattern is theoretical, not measured: it uses a crystal structure in Alexandria, relaxed with PBE and Cu Kα X-rays.
Intensities are scaled so that the largest is 100.

Most intense lines, 2θ from 5° to 70°, by angle:
two_theta  I (rel.)
34.2  100.0
34.6  7.8
37.4  8.8
39.5  27.8
42.0  40.9
43.9  23.1
58.8  10.6
61.8  17.2
65.7  14.8
68.9  18.2

Structural model:
```
12
Lattice="6.7962 0.0000 0.0000 0.0000 6.7962 0.0000 0.0000 0.0000 5.1844" Properties=species:S:1:pos:R:3 pbc="T T T"
Zr 1.0341 2.3296 0.0000
Zr 1.0341 4.4666 2.5922
Zr 2.3296 1.0341 2.5922
Zr 2.3296 5.7621 0.0000
Zr 4.4666 1.0341 0.0000
Zr 4.4666 5.7621 2.5922
Zr 5.7621 2.3296 2.5922
Zr 5.7621 4.4666 0.0000
Ga 3.3981 3.3981 1.2961
Ga 3.3981 3.3981 3.8883
Cu 0.0000 0.0000 1.2961
Cu 0.0000 0.0000 3.8883
```

***

[3]
Diffraction record for Er5TlS8. The powder X-ray diffraction pattern is theoretical, not measured: it uses a crystal structure in Alexandria, relaxed with PBE and Cu Kα X-rays.
Intensities are scaled so that the largest is 100.

Most intense lines, 2θ from 5° to 70°, by angle:
two_theta  I (rel.)
18.1  88.3
19.3  59.9
23.4  85.2
26.4  80.5
26.8  100.0
29.3  89.0
30.9  70.8
35.3  62.6
36.9  98.6
46.3  93.7

Structural model:
```
14
Lattice="10.1726 -1.9749 0.0000 10.1726 1.9749 0.0000 -2.4416 0.0000 9.1912" Properties=species:S:1:pos:R:3 pbc="T T T"
Er 0.0000 0.0000 0.0000
Er -0.0094 0.0000 3.6655
Er 6.8808 0.0000 0.5470
Er 11.3275 0.0000 6.6224
Er 13.7567 0.0000 1.0961
Tl 15.8276 0.0000 5.1223
S 0.1572 0.0000 8.4454
S 2.1738 0.0000 5.2003
S 4.8116 0.0000 2.3765
S 6.5049 0.0000 7.9143
S 9.1451 0.0000 5.0881
S 11.1596 0.0000 1.8438
S 13.3279 0.0000 8.4541
S 18.3322 0.0000 1.8368
```

***

Which formula does entry 3 have? Er5TlS8

***

Number 2 is which compound? Zr4GaCu